Record 1
Calculated powder X-ray diffraction pattern of Ca3In5Ni2 for CuKα, from DFT lattice parameters and positions (PBE).

Main lines, most intense first (2θ from 5° to 70°):
2theta  d [Å]  I_rel
34.47  2.602  100
37.52  2.397  76
34.67  2.588  58
18.60  4.771  50
40.38  2.234  35
44.31  2.044  34
21.74  4.088  33
32.29  2.772  29

Structure:
abc: 10.6686 10.6686 4.0882
angles: 90.00 90.00 90.00
Sites, in units of the cell vectors:
Ca1 0.0000 0.0000 0.0000
Ca2 0.1774 0.3226 0.0000
Ca3 0.3226 0.8226 0.0000
Ca4 0.5000 0.5000 0.0000
Ca5 0.6774 0.1774 0.0000
Ca6 0.8226 0.6774 0.0000
In1 0.0000 0.5000 0.5000
In2 0.0673 0.7795 0.5000
In3 0.2205 0.0673 0.5000
In4 0.2795 0.5673 0.5000
In5 0.4327 0.2795 0.5000
In6 0.5000 0.0000 0.5000
In7 0.5673 0.7205 0.5000
In8 0.7205 0.4327 0.5000
In9 0.7795 0.9327 0.5000
In10 0.9327 0.2205 0.5000
Ni1 0.1172 0.6172 0.0000
Ni2 0.3828 0.1172 0.0000
Ni3 0.6172 0.8828 0.0000
Ni4 0.8828 0.3828 0.0000

Record 2
Calculated powder X-ray diffraction pattern of CaIn2Ni9 for CuKα, from DFT lattice parameters and positions (PBE).

Main lines, most intense first (2θ from 5° to 70°):
2theta  d [Å]  I_rel
44.54  2.034  100
39.13  2.302  74
43.66  2.073  51
45.27  2.003  41
15.17  5.840  36
46.66  1.947  26
47.84  1.901  23
43.10  2.099  17

Structure:
abc: 8.2587 8.2587 4.8749
angles: 90.00 90.00 90.00
Sites, in units of the cell vectors:
Ca1 0.0000 0.0000 0.0000
Ca2 0.5000 0.5000 0.0000
In1 0.1259 0.3741 0.0000
In2 0.3741 0.8741 0.0000
In3 0.6259 0.1259 0.0000
In4 0.8741 0.6259 0.0000
Ni1 0.0000 0.5000 0.5000
Ni2 0.0650 0.2083 0.5000
Ni3 0.1758 0.6758 0.2508
Ni4 0.1758 0.6758 0.7492
Ni5 0.2083 0.9350 0.5000
Ni6 0.2917 0.4350 0.5000
Ni7 0.3242 0.1758 0.2508
Ni8 0.3242 0.1758 0.7492
Ni9 0.4350 0.7083 0.5000
Ni10 0.5000 0.0000 0.5000
Ni11 0.5650 0.2917 0.5000
Ni12 0.6758 0.8242 0.2508
Ni13 0.6758 0.8242 0.7492
Ni14 0.7083 0.5650 0.5000
Ni15 0.7917 0.0650 0.5000
Ni16 0.8242 0.3242 0.2508
Ni17 0.8242 0.3242 0.7492
Ni18 0.9350 0.7917 0.5000

Record 3
Calculated powder X-ray diffraction pattern of CaIn8Ni4 for CuKα, from DFT lattice parameters and positions (PBE).

Main lines, most intense first (2θ from 5° to 70°):
2theta  d [Å]  I_rel
41.87  2.158  100
37.90  2.374  80
38.18  2.357  57
42.64  2.120  40
32.59  2.748  38
31.61  2.830  35
37.05  2.426  33
68.82  1.364  30

Structure:
abc: 7.2434 7.2434 7.2434
angles: 98.78 98.78 134.00
Sites, in units of the cell vectors:
Ca1 0.0000 0.0000 0.0000
In1 0.0000 0.3327 0.3327
In2 0.0000 0.6673 0.6673
In3 0.2773 0.5000 0.7773
In4 0.3327 0.0000 0.3327
In5 0.5000 0.2773 0.7773
In6 0.5000 0.7227 0.2227
In7 0.6673 0.0000 0.6673
In8 0.7227 0.5000 0.2227
Ni1 0.0000 0.0000 0.5000
Ni2 0.0000 0.5000 0.0000
Ni3 0.5000 0.0000 0.0000
Ni4 0.5000 0.5000 0.5000